1.
For Li5Nb6O18, a crystal structure in the Materials Project, relaxed with GGA-PBE gives the computed powder diffractogram in this record (Cu Kα, 1.54184 Å).
Intensities are scaled so that the largest is 100.

Structural model:
a b c (Å): 7.686 9.076 11.218
angles (deg): 105.77 95.18 113.26
Space group P1 (No. 1)
Symmetry-distinct sites (fractional):
Li 0.000 0.000 0.000
Li 0.001 0.993 0.501
Li 0.163 0.332 0.834
Li 0.336 0.668 0.670
Li 0.338 0.664 0.167
Li 0.500 0.996 0.500
Li 0.502 0.993 0.001
Li 0.662 0.329 0.332
Li 0.833 0.661 0.664
Li 0.835 0.668 0.171
Nb 0.112 0.656 0.386
Nb 0.116 0.666 0.886
Nb 0.282 0.995 0.217
Nb 0.286 0.003 0.723
Nb 0.436 0.328 0.544
Nb 0.444 0.330 0.053
Nb 0.615 0.653 0.884
Nb 0.618 0.664 0.382
Nb 0.785 0.998 0.716
Nb 0.789 0.004 0.222
Nb 0.937 0.331 0.045
Nb 0.946 0.332 0.554
O 0.008 0.913 0.676
O 0.008 0.917 0.178
O 0.009 0.537 0.181
O 0.017 0.545 0.684
O 0.252 0.416 0.557
O 0.254 0.412 0.057
O 0.255 0.789 0.555
O 0.269 0.797 0.056
O 0.297 0.868 0.324
O 0.301 0.117 0.076
O 0.302 0.123 0.578
O 0.302 0.869 0.825
O 0.336 0.208 0.851
O 0.342 0.582 0.843
O 0.347 0.602 0.343
O 0.363 0.207 0.351
O 0.575 0.059 0.706
O 0.591 0.079 0.218
O 0.597 0.460 0.223
O 0.599 0.478 0.714
O 0.630 0.534 0.487
O 0.631 0.535 0.996
O 0.639 0.787 0.744
O 0.641 0.785 0.238
O 0.666 0.244 0.013
O 0.673 0.250 0.517
O 0.678 0.871 0.012
O 0.691 0.879 0.513
O 0.923 0.746 0.381
O 0.923 0.746 0.888
O 0.924 0.124 0.394
O 0.930 0.130 0.886
O 0.949 0.181 0.139
O 0.957 0.451 0.412
O 0.968 0.202 0.659
O 0.987 0.456 0.914

Top 10 peaks for 2θ = 15–90°, in order of rising 2θ:
Position (°2θ)	intensity	(hkl)
23.3	100	0 1 2
32.1	36	2 1 -2
34.2	21	2 0 2
41.8	11	2 2 0
47.5	12	0 4 -4
52.1	22	0 0 6
55.0	8	2 1 4
55.7	8	-4 1 4
59.8	7	4 1 0
61.3	7	2 -6 2

=====

2.
For LiNb2O, a crystal structure in the Materials Project, relaxed with GGA-PBE gives the computed powder diffractogram in this record (Cu Kα, 1.54184 Å).
Intensities are scaled so that the largest is 100.

Structural model:
a b c (Å): 2.8763 2.8763 16.7614
angles (deg): 90.00 90.00 120.00
Space group P6_3/mmc (No. 194)
Symmetry-distinct sites (fractional):
Li 0.3333 0.6667 0.2500
Nb 0.3333 0.6667 0.5945
O 0.0000 0.0000 0.0000

Top 10 peaks for 2θ = 15–90°, in order of rising 2θ:
Position (°2θ)	intensity	(hkl)
21.2	41	0 0 4
32.0	29	0 0 6
36.1	16	1 0 0
36.5	36	1 0 1
39.6	100	1 0 3
42.2	20	1 0 4
49.0	21	1 0 6
53.0	28	1 0 7
62.2	18	1 0 9
64.8	18	1 1 0

=====

3.
For LiNbPO5, a crystal structure in the Materials Project, relaxed with GGA-PBE gives the computed powder diffractogram in this record (Cu Kα, 1.54184 Å).
Intensities are scaled so that the largest is 100.

Structural model:
a b c (Å): 14.237 5.437 10.896
angles (deg): 90.00 113.61 90.00
Space group C2 (No. 5)
Symmetry-distinct sites (fractional):
Li 0.001 0.000 0.252
Li 0.247 0.752 0.249
Nb 0.000 0.001 0.000
Nb 0.000 0.002 0.500
Nb 0.249 0.752 0.748
P 0.124 0.500 0.440
P 0.124 0.503 0.937
O 0.056 0.266 0.409
O 0.058 0.739 0.909
O 0.060 0.266 0.905
O 0.060 0.738 0.405
O 0.125 0.962 0.665
O 0.126 0.040 0.168
O 0.187 0.509 0.849
O 0.188 0.492 0.354
O 0.194 0.498 0.590
O 0.196 0.504 0.092

Top 10 peaks for 2θ = 15–90°, in order of rising 2θ:
Position (°2θ)	intensity	(hkl)
17.5	77	2 0 -2
18.5	60	1 1 -1
21.0	43	1 1 1
23.1	36	1 1 -2
26.2	88	3 1 0
26.5	95	2 0 2
26.7	100	3 1 -2
37.7	49	0 2 2
42.4	35	4 2 -2
55.1	38	6 2 -4

=====

4.
For LiNbPO5, a crystal structure in the Materials Project, relaxed with GGA-PBE gives the computed powder diffractogram in this record (Cu Kα, 1.54184 Å).
Intensities are scaled so that the largest is 100.

Structural model:
a b c (Å): 14.278 5.419 10.860
angles (deg): 90.00 113.71 90.00
Space group C2/c (No. 15)
Symmetry-distinct sites (fractional):
Li 0.000 0.000 0.000
Li 0.250 0.250 0.000
Nb 0.000 0.000 0.250
Nb 0.250 0.250 0.500
P 0.125 0.499 0.687
O 0.058 0.262 0.656
O 0.060 0.263 0.153
O 0.125 0.039 0.418
O 0.188 0.494 0.601
O 0.194 0.497 0.840

Top 10 peaks for 2θ = 15–90°, in order of rising 2θ:
Position (°2θ)	intensity	(hkl)
17.5	74	2 0 -2
18.6	60	1 1 -1
21.1	42	1 1 1
23.2	37	1 1 -2
26.2	90	3 1 0
26.5	95	2 0 2
26.8	100	3 1 -2
37.8	60	0 2 2
42.5	42	4 2 -2
47.4	30	2 2 -4

=====

5.
For Li2Nb2P3O12, a crystal structure in the Materials Project, relaxed with GGA-PBE gives the computed powder diffractogram in this record (Cu Kα, 1.54184 Å).
Intensities are scaled so that the largest is 100.

Structural model:
a b c (Å): 15.250 9.185 8.897
angles (deg): 90.00 125.23 90.00
Space group C2/c (No. 15)
Symmetry-distinct sites (fractional):
Li 0.246 0.069 0.048
Nb 0.111 0.250 0.142
P 0.000 0.034 0.750
P 0.145 0.402 0.537
O 0.037 0.349 0.489
O 0.064 0.063 0.202
O 0.086 0.130 0.913
O 0.159 0.429 0.055
O 0.167 0.365 0.391
O 0.233 0.337 0.729

Top 10 peaks for 2θ = 15–90°, in order of rising 2θ:
Position (°2θ)	intensity	(hkl)
19.3	17	0 2 0
19.8	59	1 1 1
20.0	100	3 1 -1
23.0	29	2 2 -1
23.3	25	1 1 -2
23.5	27	3 1 0
27.9	49	2 2 -2
28.7	18	4 0 0
34.1	38	1 3 1
34.8	29	1 1 -3